This entry pairs a crystal structure of Hg2Ir2O7 with its simulated powder XRD pattern. Radiation: Cu Kα, 1.54184 Å. Structure: a GGA-PBE-relaxed structure.
Kinematic intensities with the Lorentz-polarization factor, no thermal factor.

Principal peaks in the range 2θ = 10–90°, sorted by position:
(2 2 2), 2θ 29.89, intensity 100; (4 0 0), 2θ 34.65, intensity 40; (4 4 0), 2θ 49.82, intensity 43; (6 2 2), 2θ 59.19, intensity 45; (6 6 2), 2θ 80.95, intensity 19; (8 4 0), 2θ 83.51, intensity 17

Crystal structure
a b c (Å): 10.354 10.354 10.354
angles (deg): 90.00 90.00 90.00
Space group Fd-3m (No. 227, origin choice 2)
Asymmetric unit:
Hg1 0.000 0.000 0.000 x16
Ir1 0.000 0.000 0.500 x16
O1 0.070 0.375 0.875 x48
O2 0.125 0.125 0.125 x8


This entry pairs a crystal structure of Li5Mg2AlZn2 with its simulated powder XRD pattern. Radiation: Cu Kα, 1.54184 Å. Structure: a GGA-PBE-relaxed structure.
Kinematic intensities with the Lorentz-polarization factor, no thermal factor.

Principal peaks in the range 2θ = 10–90°, sorted by position:
(1 1 0), 2θ 12.16, intensity 58; (2 1 0), 2θ 19.28, intensity 73; (0 0 1), 2θ 26.40, intensity 71; (3 1 0), 2θ 27.40, intensity 85; (3 1 1), 2θ 38.42, intensity 100; (3 2 1), 2θ 41.42, intensity 54

Crystal structure
```
data_Li5Mg2AlZn2
_chemical_formula_sum 'Li10 Mg4 Al2 Zn4'
_space_group_name_H-M_alt 'P 4/m b m'
_space_group_IT_number 127
_space_group_name_Hall '-P 4 2ab'
_cell_length_a 10.295
_cell_length_b 10.295
_cell_length_c 3.375
_cell_angle_alpha 90.00
_cell_angle_beta 90.00
_cell_angle_gamma 90.00
loop_
_atom_site_label
_atom_site_type_symbol
_atom_site_fract_x
_atom_site_fract_y
_atom_site_fract_z
Li1 Li 0.000 0.500 0.000
Li2 Li 0.064 0.197 0.000
Mg1 Mg 0.172 0.672 0.500
Al1 Al 0.000 0.000 0.500
Zn1 Zn 0.127 0.373 0.500
```


This entry pairs a crystal structure of KSrCd2 with its simulated powder XRD pattern. Radiation: Cu Kα, 1.54184 Å. Structure: a GGA-PBE-relaxed structure.
Kinematic intensities with the Lorentz-polarization factor, no thermal factor.

Principal peaks in the range 2θ = 10–90°, sorted by position:
(0 0 1), 2θ 13.89, intensity 54; (1 0 -1), 2θ 20.11, intensity 46; (1 1 0), 2θ 26.76, intensity 94; (1 0 -2), 2θ 28.30, intensity 45; (0 1 2), 2θ 33.18, intensity 62; (1 1 1), 2θ 33.44, intensity 100

Crystal structure
```
data_KSrCd2
_chemical_formula_sum 'K1 Sr1 Cd2'
_space_group_name_H-M_alt 'P 1 m 1'
_space_group_IT_number 6
_cell_length_a 4.706
_cell_length_b 5.079
_cell_length_c 6.790
_cell_angle_alpha 90.00
_cell_angle_beta 110.13
_cell_angle_gamma 90.00
loop_
_space_group_symop_operation_xyz
'x,y,z'
'x,-y,z'
loop_
_atom_site_label
_atom_site_type_symbol
_atom_site_fract_x
_atom_site_fract_y
_atom_site_fract_z
K1 K 0.000 0.000 0.000
Sr1 Sr 0.707 0.500 0.412
Cd1 Cd 0.284 0.000 0.567
Cd2 Cd 0.411 0.500 0.821
```


This entry pairs a crystal structure of HoMgCd3 with its simulated powder XRD pattern. Radiation: Cu Kα, 1.54184 Å. Structure: a GGA-PBE-relaxed structure.
Kinematic intensities with the Lorentz-polarization factor, no thermal factor.

Principal peaks in the range 2θ = 10–90°, sorted by position:
(2 0 0), 2θ 29.80, intensity 19; (0 0 2), 2θ 30.28, intensity 32; (2 0 1), 2θ 33.52, intensity 100; (2 0 2), 2θ 43.00, intensity 22; (2 2 0), 2θ 52.89, intensity 14; (2 0 3), 2θ 55.88, intensity 22

Crystal structure
```
data_HoMgCd3
_chemical_formula_sum 'Ho2 Mg2 Cd6'
_space_group_name_H-M_alt 'P 63/m m c'
_space_group_IT_number 194
_space_group_name_Hall '-P 6c 2c'
_cell_length_a 6.9244
_cell_length_b 6.9244
_cell_length_c 5.9042
_cell_angle_alpha 90.00
_cell_angle_beta 90.00
_cell_angle_gamma 120.00
loop_
_atom_site_label
_atom_site_type_symbol
_atom_site_fract_x
_atom_site_fract_y
_atom_site_fract_z
Ho1 Ho 0.3333 0.6667 0.2500
Mg1 Mg 0.0000 0.0000 0.0000
Cd1 Cd 0.1965 0.3930 0.7500
```


This entry pairs a crystal structure of Ac4Ce3NdS8 with its simulated powder XRD pattern. Radiation: Cu Kα, 1.54184 Å. Structure: a GGA-PBE-relaxed structure.
Kinematic intensities with the Lorentz-polarization factor, no thermal factor.

Principal peaks in the range 2θ = 10–90°, sorted by position:
(0 0 6), 2θ 25.99, intensity 23; (2 0 2), 2θ 26.18, intensity 67; (0 2 4), 2θ 30.27, intensity 100; (2 0 8), 2θ 43.21, intensity 37; (2 2 0), 2θ 43.46, intensity 37; (2 2 6), 2θ 51.34, intensity 23

Crystal structure
```
data_Ac4Ce3NdS8
_chemical_formula_sum 'Ac12 Ce9 Nd3 S24'
_space_group_name_H-M_alt 'R -3 m'
_space_group_IT_number 166
_space_group_name_Hall '-R 3 2"'
_cell_length_a 8.3298
_cell_length_b 8.3298
_cell_length_c 20.5674
_cell_angle_alpha 90.00
_cell_angle_beta 90.00
_cell_angle_gamma 120.00
loop_
_atom_site_label
_atom_site_type_symbol
_atom_site_fract_x
_atom_site_fract_y
_atom_site_fract_z
Ac1 Ac 0.0000 0.0000 0.0000
Ac2 Ac 0.0000 0.5000 0.0000
Ce1 Ce 0.0000 0.5000 0.5000
Nd1 Nd 0.0000 0.0000 0.5000
S1 S 0.0000 0.0000 0.2440
S2 S 0.0014 0.5007 0.7558
```


This entry pairs a crystal structure of Th5Os2Au with its simulated powder XRD pattern. Radiation: Cu Kα, 1.54184 Å. Structure: a GGA-PBE-relaxed structure.
Kinematic intensities with the Lorentz-polarization factor, no thermal factor.

Principal peaks in the range 2θ = 10–90°, sorted by position:
(2 1 3), 2θ 32.20, intensity 100; (2 0 4), 2θ 34.93, intensity 28; (3 1 0), 2θ 35.98, intensity 59; (2 1 5), 2θ 42.05, intensity 19; (4 2 0), 2θ 51.85, intensity 22; (4 4 0), 2θ 67.13, intensity 22

Crystal structure
```
data_Th5Os2Au
_chemical_formula_sum 'Th20 Os8 Au4'
_space_group_name_H-M_alt 'I 4/m c m'
_space_group_IT_number 140
_space_group_name_Hall '-I 4 2c'
_cell_length_a 7.894
_cell_length_b 7.894
_cell_length_c 13.535
_cell_angle_alpha 90.00
_cell_angle_beta 90.00
_cell_angle_gamma 90.00
loop_
_atom_site_label
_atom_site_type_symbol
_atom_site_fract_x
_atom_site_fract_y
_atom_site_fract_z
Th1 Th 0.000 0.000 0.000
Th2 Th 0.161 0.339 0.139
Os1 Os 0.138 0.362 0.500
Au1 Au 0.000 0.000 0.250
```


This entry pairs a crystal structure of ScBeTl with its simulated powder XRD pattern. Radiation: Cu Kα, 1.54184 Å. Structure: a GGA-PBE-relaxed structure.
Kinematic intensities with the Lorentz-polarization factor, no thermal factor.

Principal peaks in the range 2θ = 10–90°, sorted by position:
(0 0 1), 2θ 16.45, intensity 76; (1 0 1), 2θ 25.83, intensity 100; (1 2 1), 2θ 34.42, intensity 78; (0 1 2), 2θ 34.63, intensity 44; (1 0 2), 2θ 35.90, intensity 78; (-1 1 1), 2θ 39.89, intensity 45

Crystal structure
```
data_ScBeTl
_chemical_formula_sum 'Sc2 Be2 Tl2'
_space_group_name_H-M_alt 'P -1'
_space_group_IT_number 2
_cell_length_a 4.001
_cell_length_b 5.567
_cell_length_c 5.837
_cell_angle_alpha 73.33
_cell_angle_beta 69.96
_cell_angle_gamma 68.94
loop_
_space_group_symop_operation_xyz
'x,y,z'
'-x,-y,-z'
loop_
_atom_site_label
_atom_site_type_symbol
_atom_site_fract_x
_atom_site_fract_y
_atom_site_fract_z
Sc1 Sc 0.068 0.193 0.171
Be1 Be 0.375 0.591 0.157
Tl1 Tl 0.315 0.260 0.609
```


This entry pairs a crystal structure of CaHg2Rh with its simulated powder XRD pattern. Radiation: Cu Kα, 1.54184 Å. Structure: a GGA-PBE-relaxed structure.
Kinematic intensities with the Lorentz-polarization factor, no thermal factor.

Principal peaks in the range 2θ = 10–90°, sorted by position:
(1 -1 0), 2θ 19.67, intensity 31; (0 1 1), 2θ 23.60, intensity 28; (1 -2 0), 2θ 30.09, intensity 48; (1 0 2), 2θ 36.02, intensity 65; (2 -1 0), 2θ 36.40, intensity 63; (1 1 -2), 2θ 37.10, intensity 100

Crystal structure
```
data_CaHg2Rh
_chemical_formula_sum 'Ca2 Hg4 Rh2'
_space_group_name_H-M_alt 'P 1'
_space_group_IT_number 1
_cell_length_a 4.937
_cell_length_b 6.254
_cell_length_c 6.587
_cell_angle_alpha 102.97
_cell_angle_beta 90.03
_cell_angle_gamma 113.15
loop_
_space_group_symop_operation_xyz
'x,y,z'
loop_
_atom_site_label
_atom_site_type_symbol
_atom_site_fract_x
_atom_site_fract_y
_atom_site_fract_z
Ca1 Ca 0.000 0.000 0.000
Ca2 Ca 0.280 0.561 0.412
Hg1 Hg 0.328 0.658 0.958
Hg2 Hg 0.698 0.395 0.083
Hg3 Hg 0.733 0.466 0.659
Hg4 Hg 0.994 0.987 0.500
Rh1 Rh 0.500 0.999 0.720
Rh2 Rh 0.534 0.068 0.319
```